Computed XRD peak list of Ac3In2Ga2 for a wavelength of 1.5418 Å, from a DFT-relaxed cell (PBE, Alexandria).

Structural model:
```
data_Ac3In2Ga2
_chemical_formula_sum 'Ac6 In4 Ga4'
_cell_length_a 12.524
_cell_length_b 4.368
_cell_length_c 8.996
_cell_angle_alpha 90.00
_cell_angle_beta 114.98
_cell_angle_gamma 90.00
_space_group_name_H-M_alt 'C 1 2/m 1'
_space_group_IT_number 12
_space_group_name_Hall '-C 2y'
loop_
_atom_site_label
_atom_site_type_symbol
_atom_site_fract_x
_atom_site_fract_y
_atom_site_fract_z
_atom_site_occupancy
Ac1 Ac 0.000 0.000 0.000 1
Ac2 Ac 0.193 0.000 0.654 1
In1 In 0.029 0.500 0.333 1
Ga1 Ga 0.190 0.500 0.943 1
```

The 12 most intense peaks (2θ = 10–90°), sorted by position:
d/Å  Position (°2θ)  I_rel  hkl
3.943  22.55  18  2 0 1
3.443  25.87  45  1 1 1
3.127  28.54  100  1 1 -2
3.016  29.62  58  3 1 -1
2.799  31.98  18  3 1 -2
2.718  32.96  40  0 0 3
2.582  34.75  18  4 0 -3
2.464  36.46  26  3 1 1
2.184  41.34  26  0 2 0
2.053  44.10  19  3 1 2
1.703  53.85  24  0 2 3
1.655  55.52  21  7 1 -2

Computed XRD peak list of BaTiOF4 for a wavelength of 1.5418 Å, from a DFT-relaxed cell (PBE, Alexandria).

Structural model:
```
data_BaTiOF4
_chemical_formula_sum 'Ba4 Ti4 O4 F16'
_cell_length_a 5.301
_cell_length_b 13.900
_cell_length_c 5.600
_cell_angle_alpha 90.00
_cell_angle_beta 90.00
_cell_angle_gamma 90.00
_space_group_name_H-M_alt 'P b c m'
_space_group_IT_number 57
_space_group_name_Hall '-P 2c 2b'
loop_
_atom_site_label
_atom_site_type_symbol
_atom_site_fract_x
_atom_site_fract_y
_atom_site_fract_z
_atom_site_occupancy
Ba1 Ba 0.249 0.094 0.250 1
Ti1 Ti 0.313 0.677 0.750 1
O1 O 0.448 0.750 0.000 1
F1 F 0.005 0.235 0.750 1
F2 F 0.180 0.581 0.515 1
F3 F 0.402 0.088 0.750 1
```

The 12 most intense peaks (2θ = 10–90°), sorted by position:
d/Å  Position (°2θ)  I_rel  hkl
4.361  20.37  16  0 2 1
3.710  23.99  100  1 1 1
3.489  25.53  39  1 3 0
3.475  25.63  14  0 4 0
2.956  30.24  47  0 4 1
2.800  31.96  21  0 0 2
2.650  33.82  16  2 0 0
2.265  39.80  19  2 2 1
2.254  40.00  14  1 5 1
2.183  41.36  57  1 3 2
1.972  46.02  17  2 4 1
1.549  59.69  16  1 7 2

Computed XRD peak list of La4Si23 for a wavelength of 1.5418 Å, from a DFT-relaxed cell (PBE, Alexandria).

Structural model:
```
data_La4Si23
_chemical_formula_sum 'La8 Si46'
_cell_length_a 10.184
_cell_length_b 10.184
_cell_length_c 10.184
_cell_angle_alpha 90.00
_cell_angle_beta 90.00
_cell_angle_gamma 90.00
_space_group_name_H-M_alt 'P m -3 n'
_space_group_IT_number 223
_space_group_name_Hall '-P 4n 2 3'
loop_
_atom_site_label
_atom_site_type_symbol
_atom_site_fract_x
_atom_site_fract_y
_atom_site_fract_z
_atom_site_occupancy
La1 La 0.000 0.000 0.000 1
La2 La 0.000 0.250 0.500 1
Si1 Si 0.000 0.309 0.118 1
Si2 Si 0.000 0.500 0.250 1
Si3 Si 0.185 0.185 0.185 1
```

The 12 most intense peaks (2θ = 10–90°), sorted by position:
d/Å  Position (°2θ)  I_rel  hkl
4.555  19.49  29  2 1 0
4.158  21.37  27  2 1 1
2.940  30.40  26  2 2 2
2.825  31.68  46  3 2 0
2.722  32.91  100  3 2 1
2.546  35.25  24  4 0 0
2.277  39.57  13  4 2 0
1.891  48.11  14  5 2 0
1.697  54.02  17  6 0 0
1.652  55.63  39  5 3 2
1.386  67.59  14  5 5 2
1.293  73.17  12  6 5 1

Computed XRD peak list of Hg3H6PtN2Cl8 for a wavelength of 1.5418 Å, from a DFT-relaxed cell (PBE, Alexandria).

Structural model:
```
data_Hg3H6PtN2Cl8
_chemical_formula_sum 'Hg12 H24 Pt4 N8 Cl32'
_cell_length_a 19.283
_cell_length_b 6.844
_cell_length_c 13.612
_cell_angle_alpha 90.00
_cell_angle_beta 103.41
_cell_angle_gamma 90.00
_space_group_name_H-M_alt 'C 1 2/c 1'
_space_group_IT_number 15
_space_group_name_Hall '-C 2yc'
loop_
_atom_site_label
_atom_site_type_symbol
_atom_site_fract_x
_atom_site_fract_y
_atom_site_fract_z
_atom_site_occupancy
Hg1 Hg 0.000 0.000 0.000 1
Hg2 Hg 0.196 0.011 0.428 1
H1 H 0.045 0.433 0.166 1
H2 H 0.092 0.444 0.285 1
H3 H 0.111 0.407 0.699 1
Pt1 Pt 0.000 0.263 0.750 1
N1 N 0.070 0.474 0.722 1
Cl1 Cl 0.059 0.283 0.462 1
Cl2 Cl 0.081 0.031 0.725 1
Cl3 Cl 0.151 0.254 0.004 1
Cl4 Cl 0.246 0.268 0.355 1
```

The 12 most intense peaks (2θ = 10–90°), sorted by position:
d/Å  Position (°2θ)  I_rel  hkl
6.621  13.37  31  0 0 2
6.429  13.77  88  1 1 0
6.118  14.48  56  2 0 -2
4.689  18.92  40  4 0 0
4.439  20.00  100  1 1 2
3.509  25.38  49  1 1 3
3.290  27.11  51  5 1 0
3.218  27.72  57  5 1 -2
2.939  30.41  36  3 1 -4
2.916  30.66  53  2 0 4
2.852  31.36  36  1 1 4
2.685  33.38  82  4 2 -2